Starting from a structure optimized by DFT (PBE+U), the PXRD pattern of K4CaW3O12 was simulated for copper Kα.
Lines closer than 0.1° are merged.

Cell and atoms:
a = 7.107 Å, b = 7.107 Å, c = 7.107 Å
α = 109.47°, β = 109.47°, γ = 109.47°
Fractional coordinates of all 20 atoms:
K: 0.000 0.000 0.500
K: 0.000 0.500 0.000
K: 0.500 0.000 0.000
K: 0.500 0.500 0.500
Ca: 0.000 0.000 0.000
W: 0.000 0.500 0.500
W: 0.500 0.000 0.500
W: 0.500 0.500 0.000
O: 0.000 0.274 0.274
O: 0.000 0.726 0.726
O: 0.250 0.500 0.750
O: 0.250 0.750 0.500
O: 0.274 0.000 0.274
O: 0.274 0.274 0.000
O: 0.500 0.250 0.750
O: 0.500 0.750 0.250
O: 0.726 0.000 0.726
O: 0.726 0.726 0.000
O: 0.750 0.250 0.500
O: 0.750 0.500 0.250

Most intense lines, 5° ≤ 2θ ≤ 70°, by angle:
15.3°, I = 24; 21.7°, I = 61; 26.6°, I = 13; 30.8°, I = 100; 41.2°, I = 7; 44.1°, I = 34; 49.7°, I = 27; 54.8°, I = 39; 64.2°, I = 20; 68.6°, I = 13